# 1
Computed PXRD pattern of Cs4Sc6CCl13 for a wavelength of 1.5418 Å, from the GGA-PBE geometry in the Materials Project.

Cell and atoms:
Lattice parameters (Å, degrees): 12.1782 12.1782 12.1782 100.76 100.76 128.81
Element x y z (fractional)
Cs  0.2201  0.4701  0.4403
Cs  0.2201  0.7799  0.7500
Cs  0.4701  0.2201  0.9403
Cs  0.4701  0.5299  0.2500
Cs  0.5299  0.4701  0.7500
Cs  0.5299  0.7799  0.0597
Cs  0.7799  0.2201  0.2500
Cs  0.7799  0.5299  0.5597
Sc  0.0178  0.1232  0.8945
Sc  0.0887  0.3387  0.7500
Sc  0.1232  0.0178  0.3945
Sc  0.1232  0.7287  0.1055
Sc  0.2713  0.8768  0.3945
Sc  0.3387  0.0887  0.2500
Sc  0.6613  0.9113  0.7500
Sc  0.7287  0.1232  0.6055
Sc  0.8768  0.2713  0.8945
Sc  0.8768  0.9822  0.6055
Sc  0.9113  0.6613  0.2500
Sc  0.9822  0.8768  0.1055
C  0.1250  0.8750  0.2500
C  0.8750  0.1250  0.7500
Cl  0.0398  0.2898  0.0796
Cl  0.0398  0.9602  0.7500
Cl  0.0455  0.6290  0.4165
Cl  0.1225  0.2060  0.5836
Cl  0.1225  0.5389  0.9164
Cl  0.2060  0.1225  0.0836
Cl  0.2876  0.3710  0.9165
Cl  0.2898  0.0398  0.5796
Cl  0.2898  0.7102  0.2500
Cl  0.3710  0.2876  0.4165
Cl  0.3710  0.9545  0.0835
Cl  0.3750  0.6250  0.7500
Cl  0.4611  0.8775  0.5836
Cl  0.5389  0.1225  0.4164
Cl  0.6250  0.3750  0.2500
Cl  0.6290  0.0455  0.9165
Cl  0.6290  0.7124  0.5835
Cl  0.7102  0.2898  0.7500
Cl  0.7102  0.9602  0.4204
Cl  0.7124  0.6290  0.0835
Cl  0.7940  0.8775  0.9164
Cl  0.8775  0.4611  0.0836
Cl  0.8775  0.7940  0.4164
Cl  0.9545  0.3710  0.5835
Cl  0.9602  0.0398  0.2500
Cl  0.9602  0.7102  0.9204

Most intense lines, 2θ = 5–70°, sorted by position:
| 2θ/deg | d/Å | I_rel |
| --- | --- | --- |
| 19.1 | 4.646 | 35.2 |
| 24.8 | 3.590 | 71.1 |
| 29.7 | 3.005 | 100.0 |
| 30.0 | 2.979 | 39.3 |
| 34.1 | 2.631 | 49.5 |
| 34.7 | 2.589 | 85.9 |
| 49.4 | 1.845 | 54.1 |
| 61.7 | 1.503 | 27.3 |

***

# 2
Computed PXRD pattern of CuH8C2N2Cl4 for a wavelength of 1.5418 Å, from the GGA-PBE geometry in the Materials Project.

Cell and atoms:
Lattice parameters (Å, degrees): 15.2276 6.1549 5.9078 90.00 92.12 90.00
Element x y z (fractional)
Cu  0.0000  0.0000  0.0000
Cu  0.0000  0.5000  0.5000
H  0.1787  0.0928  0.8817
H  0.1787  0.4072  0.3817
H  0.3687  0.2456  0.2010
H  0.3687  0.2544  0.7010
H  0.3707  0.5607  0.1681
H  0.3707  0.9393  0.6681
H  0.4816  0.0042  0.0406
H  0.4816  0.4958  0.5406
H  0.5184  0.5042  0.4594
H  0.5184  0.9958  0.9594
H  0.6293  0.0607  0.3319
H  0.6293  0.4393  0.8319
H  0.6313  0.7456  0.2990
H  0.6313  0.7544  0.7990
H  0.8213  0.5928  0.6183
H  0.8213  0.9072  0.1183
C  0.3699  0.0863  0.5603
C  0.3699  0.4137  0.0603
C  0.6301  0.5863  0.9397
C  0.6301  0.9137  0.4397
N  0.3704  0.0770  0.3533
N  0.3704  0.4230  0.8533
N  0.6296  0.5770  0.1467
N  0.6296  0.9230  0.6467
Cl  0.0443  0.1977  0.3080
Cl  0.0443  0.3023  0.8080
Cl  0.2146  0.5843  0.4603
Cl  0.2146  0.9157  0.9603
Cl  0.7854  0.0843  0.0397
Cl  0.7854  0.4157  0.5397
Cl  0.9557  0.6977  0.1920
Cl  0.9557  0.8023  0.6920

Most intense lines, 2θ = 5–70°, sorted by position:
| 2θ/deg | d/Å | I_rel |
| --- | --- | --- |
| 5.8 | 15.217 | 100.0 |
| 11.6 | 7.609 | 7.1 |
| 17.5 | 5.072 | 10.1 |
| 20.8 | 4.261 | 8.4 |
| 21.5 | 4.132 | 8.2 |
| 21.8 | 4.075 | 9.2 |
| 22.7 | 3.914 | 8.3 |
| 31.1 | 2.876 | 12.2 |

***

> What is the formula in the first record?

Cs4Sc6CCl13